Starting from a crystal structure in Alexandria, relaxed with PBE, the XRD peak list of YVIr3 was simulated for CuKα.
Peak positions follow from Bragg's law for the DFT cell and can differ from measured ones.

Peak list (12 most intense, 10 to 80 degrees two-theta, in order of falling intensity)
2θ/deg	d/Å	intensity
33.83	2.650	100.0
39.26	2.295	68.0
56.74	1.623	46.6
67.72	1.384	41.4
19.34	4.589	17.8
71.17	1.325	15.7
44.13	2.052	8.7
60.52	1.530	4.2
74.56	1.273	1.8
27.49	3.245	1.4
48.60	1.874	0.8
77.89	1.227	0.5

Atomic structure:
abc: 4.5892 4.5892 4.5892
angles: 90.00 90.00 90.00
Positions (direct):
Y: 0.0000 0.0000 0.0000
V: 0.5000 0.5000 0.5000
Ir: 0.0000 0.5000 0.5000
Ir: 0.5000 0.0000 0.5000
Ir: 0.5000 0.5000 0.0000